Entry 1:
# KEuHgAu
Calculated powder XRD pattern, Cu Kα, 1.54184 Å. Input: a structure optimized by DFT (GGA-PBE).
Neutral-atom scattering factors, no anomalous dispersion.

Top 8 peaks for 10 to 90 degrees two-theta, by angle:
2theta  intensity
19.7  7.7
22.7  13.8
32.4  100.0
46.4  18.4
52.3  6.7
57.8  38.5
67.8  12.0
77.1  16.8

Cell and atoms:
Cell: 7.8207 7.8207 7.8207 Å, 90.00 90.00 90.00°
Element x y z (fractional)
K 0.0000 0.0000 0.0000
K 0.0000 0.5000 0.5000
K 0.5000 0.0000 0.5000
K 0.5000 0.5000 0.0000
Eu 0.0000 0.0000 0.5000
Eu 0.0000 0.5000 0.0000
Eu 0.5000 0.0000 0.0000
Eu 0.5000 0.5000 0.5000
Hg 0.2500 0.2500 0.2500
Hg 0.2500 0.7500 0.7500
Hg 0.7500 0.2500 0.7500
Hg 0.7500 0.7500 0.2500
Au 0.2500 0.2500 0.7500
Au 0.2500 0.7500 0.2500
Au 0.7500 0.2500 0.2500
Au 0.7500 0.7500 0.7500

=====

Entry 2:
# EuIn3Au3
Calculated powder XRD pattern, Cu Kα, 1.54184 Å. Input: a structure optimized by DFT (GGA-PBE).
Neutral-atom scattering factors, no anomalous dispersion.

Top 8 peaks for 10 to 90 degrees two-theta, by angle:
2theta  intensity
29.6  20.0
31.0  26.1
31.6  100.0
34.9  21.6
39.3  40.5
42.1  46.2
43.5  15.9
46.5  17.9

Cell and atoms:
Cell: 4.5851 7.8051 9.3285 Å, 90.00 90.00 90.00°
Element x y z (fractional)
Eu 0.2500 0.2500 0.2215
Eu 0.7500 0.7500 0.7785
In 0.2500 0.0476 0.6160
In 0.2500 0.4524 0.6160
In 0.2500 0.7500 0.1342
In 0.7500 0.2500 0.8658
In 0.7500 0.5476 0.3840
In 0.7500 0.9524 0.3840
Au 0.2500 0.0134 0.9081
Au 0.2500 0.4866 0.9081
Au 0.2500 0.7500 0.4479
Au 0.7500 0.2500 0.5521
Au 0.7500 0.5134 0.0919
Au 0.7500 0.9866 0.0919

=====

Entry 3:
# EuInSnAu
Calculated powder XRD pattern, Cu Kα, 1.54184 Å. Input: a structure optimized by DFT (GGA-PBE).
Neutral-atom scattering factors, no anomalous dispersion.

Top 8 peaks for 10 to 90 degrees two-theta, by angle:
2theta  intensity
20.8  4.5
34.4  100.0
40.5  2.6
49.4  18.0
54.1  1.1
61.5  37.3
72.4  11.7
82.6  16.7

Cell and atoms:
Cell: 7.3842 7.3842 7.3842 Å, 90.00 90.00 90.00°
Element x y z (fractional)
Eu 0.0000 0.0000 0.0000
Eu 0.0000 0.5000 0.5000
Eu 0.5000 0.0000 0.5000
Eu 0.5000 0.5000 0.0000
In 0.0000 0.0000 0.5000
In 0.0000 0.5000 0.0000
In 0.5000 0.0000 0.0000
In 0.5000 0.5000 0.5000
Sn 0.2500 0.2500 0.2500
Sn 0.2500 0.7500 0.7500
Sn 0.7500 0.2500 0.7500
Sn 0.7500 0.7500 0.2500
Au 0.2500 0.2500 0.7500
Au 0.2500 0.7500 0.2500
Au 0.7500 0.2500 0.2500
Au 0.7500 0.7500 0.7500

=====

Entry 4:
# LiEuSiAu
Calculated powder XRD pattern, Cu Kα, 1.54184 Å. Input: a structure optimized by DFT (GGA-PBE).
Neutral-atom scattering factors, no anomalous dispersion.

Top 8 peaks for 10 to 90 degrees two-theta, by angle:
2theta  intensity
26.5  84.7
37.9  100.0
46.8  25.1
54.6  17.3
61.7  33.1
68.4  35.6
80.9  11.4
87.0  17.0

Cell and atoms:
Cell: 6.7184 6.7184 6.7184 Å, 90.00 90.00 90.00°
Element x y z (fractional)
Li 0.0000 0.0000 0.0000
Li 0.0000 0.5000 0.5000
Li 0.5000 0.0000 0.5000
Li 0.5000 0.5000 0.0000
Eu 0.2500 0.2500 0.7500
Eu 0.2500 0.7500 0.2500
Eu 0.7500 0.2500 0.2500
Eu 0.7500 0.7500 0.7500
Si 0.0000 0.0000 0.5000
Si 0.0000 0.5000 0.0000
Si 0.5000 0.0000 0.0000
Si 0.5000 0.5000 0.5000
Au 0.2500 0.2500 0.2500
Au 0.2500 0.7500 0.7500
Au 0.7500 0.2500 0.7500
Au 0.7500 0.7500 0.2500

=====

Entry 5:
# Eu3AuO6
Calculated powder XRD pattern, Cu Kα, 1.54184 Å. Input: a structure optimized by DFT (GGA-PBE).
Neutral-atom scattering factors, no anomalous dispersion.

Top 8 peaks for 10 to 90 degrees two-theta, by angle:
2theta  intensity
28.9  93.3
29.3  70.9
29.6  100.0
30.1  86.2
31.2  57.4
31.6  58.9
39.2  29.4
45.0  68.9

Cell and atoms:
Cell: 3.7403 5.6653 7.2296 Å, 90.76 102.52 90.74°
Element x y z (fractional)
Eu 0.0000 0.0000 0.0000
Eu 0.3879 0.4736 0.7299
Eu 0.6121 0.5264 0.2701
Au 0.0000 0.0000 0.5000
O 0.1217 0.7967 0.2908
O 0.1619 0.3035 0.3922
O 0.4858 0.7467 0.9770
O 0.5142 0.2533 0.0230
O 0.8381 0.6965 0.6078
O 0.8783 0.2033 0.7092

=====

Entry 6:
# Eu4Au2O9
Calculated powder XRD pattern, Cu Kα, 1.54184 Å. Input: a structure optimized by DFT (GGA-PBE).
Neutral-atom scattering factors, no anomalous dispersion.

Top 8 peaks for 10 to 90 degrees two-theta, by angle:
2theta  intensity
14.8  27.4
27.6  100.0
30.8  34.2
32.6  25.1
33.4  34.9
33.5  34.5
36.0  30.5
50.5  16.9

Cell and atoms:
Cell: 12.0056 6.1762 11.9389 Å, 90.00 90.00 90.00°
Element x y z (fractional)
Eu 0.0042 0.2428 0.0879
Eu 0.0042 0.7572 0.5879
Eu 0.1601 0.1999 0.7607
Eu 0.1601 0.8001 0.2607
Eu 0.3399 0.3001 0.2607
Eu 0.3399 0.6999 0.7607
Eu 0.4958 0.2572 0.5879
Eu 0.4958 0.7428 0.0879
Eu 0.5042 0.2572 0.9121
Eu 0.5042 0.7428 0.4121
Eu 0.6601 0.3001 0.2393
Eu 0.6601 0.6999 0.7393
Eu 0.8399 0.1999 0.7393
Eu 0.8399 0.8001 0.2393
Eu 0.9958 0.2428 0.4121
Eu 0.9958 0.7572 0.9121
Au 0.2316 0.4241 0.5105
Au 0.2316 0.5759 0.0105
Au 0.2684 0.0759 0.0105
Au 0.2684 0.9241 0.5105
Au 0.7316 0.0759 0.4895
Au 0.7316 0.9241 0.9895
Au 0.7684 0.4241 0.9895
Au 0.7684 0.5759 0.4895
O 0.0000 0.0234 0.2500
O 0.0000 0.9766 0.7500
O 0.0802 0.3948 0.5868
O 0.0802 0.6052 0.0868
O 0.1128 0.0653 0.9450
O 0.1128 0.9347 0.4450
O 0.1646 0.4440 0.3531
O 0.1646 0.5560 0.8531
O 0.1946 0.1224 0.1596
O 0.1946 0.8776 0.6596
O 0.3054 0.3776 0.6596
O 0.3054 0.6224 0.1596
O 0.3354 0.0560 0.8531
O 0.3354 0.9440 0.3531
O 0.3872 0.4347 0.4450
O 0.3872 0.5653 0.9450
O 0.4198 0.1052 0.0868
O 0.4198 0.8948 0.5868
O 0.5000 0.4766 0.7500
O 0.5000 0.5234 0.2500
O 0.5802 0.1052 0.4132
O 0.5802 0.8948 0.9132
O 0.6128 0.4347 0.0550
O 0.6128 0.5653 0.5550
O 0.6646 0.0560 0.6469
O 0.6646 0.9440 0.1469
O 0.6946 0.3776 0.8404
O 0.6946 0.6224 0.3404
O 0.8054 0.1224 0.3404
O 0.8054 0.8776 0.8404
O 0.8354 0.4440 0.1469
O 0.8354 0.5560 0.6469
O 0.8872 0.0653 0.5550
O 0.8872 0.9347 0.0550
O 0.9198 0.3948 0.9132
O 0.9198 0.6052 0.4132

=====

Entry 7:
# EuPAu
Calculated powder XRD pattern, Cu Kα, 1.54184 Å. Input: a structure optimized by DFT (GGA-PBE).
Neutral-atom scattering factors, no anomalous dispersion.

Top 8 peaks for 10 to 90 degrees two-theta, by angle:
2theta  intensity
26.1  48.7
32.2  100.0
40.6  16.0
41.7  50.3
43.8  14.6
53.7  23.5
62.1  31.2
70.2  21.3

Cell and atoms:
Cell: 4.3285 4.3285 8.2745 Å, 90.00 90.00 120.00°
Element x y z (fractional)
Eu 0.0000 0.0000 0.0000
Eu 0.0000 0.0000 0.5000
P 0.3333 0.6667 0.2500
P 0.6667 0.3333 0.7500
Au 0.3333 0.6667 0.7500
Au 0.6667 0.3333 0.2500

=====

Entry 8:
# PmEuAu
Calculated powder XRD pattern, Cu Kα, 1.54184 Å. Input: a structure optimized by DFT (GGA-PBE).
Neutral-atom scattering factors, no anomalous dispersion.

Top 8 peaks for 10 to 90 degrees two-theta, by angle:
2theta  intensity
21.1  36.2
34.8  100.0
41.1  20.3
50.1  18.0
55.0  8.8
62.5  37.1
73.6  11.6
84.0  16.7

Cell and atoms:
Cell: 7.2834 7.2834 7.2834 Å, 90.00 90.00 90.00°
Element x y z (fractional)
Pm 0.0000 0.0000 0.0000
Pm 0.0000 0.5000 0.5000
Pm 0.5000 0.0000 0.5000
Pm 0.5000 0.5000 0.0000
Eu 0.0000 0.0000 0.5000
Eu 0.0000 0.5000 0.0000
Eu 0.5000 0.0000 0.0000
Eu 0.5000 0.5000 0.5000
Au 0.2500 0.2500 0.7500
Au 0.2500 0.7500 0.2500
Au 0.7500 0.2500 0.2500
Au 0.7500 0.7500 0.7500

=====

Entry 9:
# Eu2RuAu
Calculated powder XRD pattern, Cu Kα, 1.54184 Å. Input: a structure optimized by DFT (GGA-PBE).
Neutral-atom scattering factors, no anomalous dispersion.

Top 8 peaks for 10 to 90 degrees two-theta, by angle:
2theta  intensity
28.0  8.6
34.8  100.0
36.1  46.7
48.0  9.1
52.0  16.4
61.5  17.4
64.1  33.9
73.4  10.4

Cell and atoms:
Cell: 3.5177 3.5177 7.5818 Å, 90.00 90.00 90.00°
Element x y z (fractional)
Eu 0.0000 0.0000 0.2297
Eu 0.0000 0.0000 0.7703
Ru 0.5000 0.5000 0.0000
Au 0.5000 0.5000 0.5000

=====

Entry 10:
# Eu2Sn5Au2
Calculated powder XRD pattern, Cu Kα, 1.54184 Å. Input: a structure optimized by DFT (GGA-PBE).
Neutral-atom scattering factors, no anomalous dispersion.

Top 8 peaks for 10 to 90 degrees two-theta, by angle:
2theta  intensity
31.6  100.0
31.9  25.5
32.1  92.2
33.5  19.1
37.9  37.7
38.8  55.6
55.4  25.9
59.9  21.6

Cell and atoms:
Cell: 9.4989 4.6378 10.5630 Å, 90.00 91.43 90.00°
Element x y z (fractional)
Eu 0.1007 0.2500 0.2525
Eu 0.3594 0.7500 0.7466
Eu 0.6406 0.2500 0.2534
Eu 0.8993 0.7500 0.7475
Sn 0.1065 0.2500 0.6139
Sn 0.1360 0.7500 0.0227
Sn 0.3731 0.7500 0.2573
Sn 0.3863 0.2500 0.4836
Sn 0.3949 0.2500 0.0229
Sn 0.6051 0.7500 0.9771
Sn 0.6137 0.7500 0.5164
Sn 0.6269 0.2500 0.7427
Sn 0.8640 0.2500 0.9773
Sn 0.8935 0.7500 0.3861
Au 0.1473 0.2500 0.8718
Au 0.1797 0.7500 0.4712
Au 0.8203 0.2500 0.5288
Au 0.8527 0.7500 0.1282

=====

Which formula does entry 7 have?
EuPAu

=====

Copy entry 10 word for word.
# Eu2Sn5Au2
Calculated powder XRD pattern, Cu Kα, 1.54184 Å. Input: a structure optimized by DFT (GGA-PBE).
Neutral-atom scattering factors, no anomalous dispersion.

Top 8 peaks for 10 to 90 degrees two-theta, by angle:
2theta  intensity
31.6  100.0
31.9  25.5
32.1  92.2
33.5  19.1
37.9  37.7
38.8  55.6
55.4  25.9
59.9  21.6

Cell and atoms:
Cell: 9.4989 4.6378 10.5630 Å, 90.00 91.43 90.00°
Element x y z (fractional)
Eu 0.1007 0.2500 0.2525
Eu 0.3594 0.7500 0.7466
Eu 0.6406 0.2500 0.2534
Eu 0.8993 0.7500 0.7475
Sn 0.1065 0.2500 0.6139
Sn 0.1360 0.7500 0.0227
Sn 0.3731 0.7500 0.2573
Sn 0.3863 0.2500 0.4836
Sn 0.3949 0.2500 0.0229
Sn 0.6051 0.7500 0.9771
Sn 0.6137 0.7500 0.5164
Sn 0.6269 0.2500 0.7427
Sn 0.8640 0.2500 0.9773
Sn 0.8935 0.7500 0.3861
Au 0.1473 0.2500 0.8718
Au 0.1797 0.7500 0.4712
Au 0.8203 0.2500 0.5288
Au 0.8527 0.7500 0.1282